Entry 1:
Structure and calculated PXRD pattern of CaPr2RuO6 (the GGA-PBE geometry in Alexandria; CuKα).
Intensities are scaled so that the largest is 100.

Structure:
Cell lengths 5.6519, 5.9818, 9.8667 Å; angles 90.00, 124.18, 90.00 degrees
Space group P2_1/c (No. 14)
Unique sites:
Ca: 0.0000 0.0000 0.0000 (multiplicity 2)
Pr: 0.2705 0.0652 0.7491 (multiplicity 4)
Ru: 0.5000 0.0000 0.5000 (multiplicity 2)
O: 0.1489 0.0470 0.2685 (multiplicity 4)
O: 0.2656 0.6842 0.0563 (multiplicity 4)
O: 0.3902 0.2137 0.0669 (multiplicity 4)

Main lines, low angle first (2θ = 15–90°):
2θ = 29.87°, 2.991 Å, rel. 38; 2θ = 30.73°, 2.909 Å, rel. 100; 2θ = 31.04°, 2.881 Å, rel. 99; 2θ = 31.66°, 2.826 Å, rel. 45; 2θ = 31.87°, 2.808 Å, rel. 19; 2θ = 44.09°, 2.054 Å, rel. 36; 2θ = 44.39°, 2.041 Å, rel. 27; 2θ = 54.43°, 1.686 Å, rel. 18; 2θ = 55.63°, 1.652 Å, rel. 21; 2θ = 56.20°, 1.637 Å, rel. 22

***

Entry 2:
Structure and calculated PXRD pattern of CaPrSb2O6 (the GGA-PBE geometry in Alexandria; CuKα).
Intensities are scaled so that the largest is 100.

Structure:
Cell lengths 8.0305, 6.3281, 5.9634 Å; angles 90.00, 90.00, 90.00 degrees
Space group Pmn2_1 (No. 31)
Unique sites:
Ca: 0.0000 0.2006 0.0000 (multiplicity 2)
Pr: 0.0000 0.6790 0.5011 (multiplicity 2)
Sb: 0.2471 0.2290 0.5041 (multiplicity 4)
O: 0.0000 0.3050 0.3757 (multiplicity 2)
O: 0.0000 0.8277 0.1367 (multiplicity 2)
O: 0.1941 0.9416 0.6280 (multiplicity 4)
O: 0.1948 0.4003 0.7823 (multiplicity 4)

Main lines, low angle first (2θ = 15–90°):
2θ = 18.53°, 4.788 Å, rel. 14; 2θ = 28.20°, 3.164 Å, rel. 24; 2θ = 29.97°, 2.982 Å, rel. 27; 2θ = 30.33°, 2.947 Å, rel. 100; 2θ = 41.62°, 2.170 Å, rel. 19; 2θ = 45.16°, 2.008 Å, rel. 12; 2θ = 51.27°, 1.782 Å, rel. 13; 2θ = 53.43°, 1.715 Å, rel. 26; 2θ = 55.15°, 1.665 Å, rel. 11; 2θ = 63.10°, 1.473 Å, rel. 12

***

Entry 3:
Structure and calculated PXRD pattern of Ca4Pr2Sb3O2 (the GGA-PBE geometry in Alexandria; CuKα).
Intensities are scaled so that the largest is 100.

Structure:
Cell lengths 4.7060, 4.7060, 25.7360 Å; angles 90.00, 90.00, 90.00 degrees
Space group I4/mmm (No. 139)
Unique sites:
Ca: 0.0000 0.5000 0.0823 (multiplicity 8)
Pr: 0.0000 0.0000 0.1935 (multiplicity 4)
Sb: 0.0000 0.0000 0.3225 (multiplicity 4)
Sb: 0.0000 0.0000 0.5000 (multiplicity 2)
O: 0.0000 0.0000 0.1002 (multiplicity 4)

Main lines, low angle first (2θ = 15–90°):
2θ = 26.79°, 3.328 Å, rel. 60; 2θ = 27.70°, 3.220 Å, rel. 65; 2θ = 30.86°, 2.897 Å, rel. 32; 2θ = 34.10°, 2.629 Å, rel. 100; 2θ = 38.25°, 2.353 Å, rel. 65; 2θ = 49.95°, 1.826 Å, rel. 25; 2θ = 52.71°, 1.737 Å, rel. 19; 2θ = 55.21°, 1.664 Å, rel. 21; 2θ = 64.64°, 1.442 Å, rel. 19; 2θ = 66.51°, 1.406 Å, rel. 27

***

Entry 4:
Structure and calculated PXRD pattern of CaPr2SiO6 (the GGA-PBE geometry in Alexandria; CuKα).
Intensities are scaled so that the largest is 100.

Structure:
Cell lengths 5.4129, 5.4129, 4.7979 Å; angles 90.00, 90.00, 90.00 degrees
Space group P4mm (No. 99)
Unique sites:
Ca: 0.0000 0.0000 0.0000 (multiplicity 1)
Pr: 0.0000 0.5000 0.4360 (multiplicity 2)
Si: 0.5000 0.5000 0.0293 (multiplicity 1)
O: 0.0000 0.0000 0.5385 (multiplicity 1)
O: 0.2798 0.2798 0.1357 (multiplicity 4)
O: 0.5000 0.5000 0.6788 (multiplicity 1)

Main lines, low angle first (2θ = 15–90°):
2θ = 18.49°, 4.798 Å, rel. 36; 2θ = 23.24°, 3.828 Å, rel. 25; 2θ = 29.86°, 2.992 Å, rel. 100; 2θ = 33.10°, 2.706 Å, rel. 36; 2θ = 38.18°, 2.357 Å, rel. 31; 2θ = 44.58°, 2.033 Å, rel. 21; 2θ = 47.51°, 1.914 Å, rel. 23; 2θ = 50.86°, 1.795 Å, rel. 26; 2θ = 57.13°, 1.612 Å, rel. 31; 2θ = 67.18°, 1.393 Å, rel. 12

***

Entry 5:
Structure and calculated PXRD pattern of CaPrTcO6 (the GGA-PBE geometry in Alexandria; CuKα).
Intensities are scaled so that the largest is 100.

Structure:
Cell lengths 5.5428, 5.5428, 4.9788 Å; angles 90.00, 90.00, 120.00 degrees
Space group P312 (No. 149)
Unique sites:
Ca: 0.0000 0.0000 0.0000 (multiplicity 1)
Pr: 0.6667 0.3333 0.5000 (multiplicity 1)
Tc: 0.3333 0.6667 0.0000 (multiplicity 1)
O: 0.0473 0.3879 0.2185 (multiplicity 6)

Main lines, low angle first (2θ = 15–90°):
2θ = 18.48°, 4.800 Å, rel. 19; 2θ = 25.78°, 3.456 Å, rel. 100; 2θ = 32.30°, 2.771 Å, rel. 32; 2θ = 41.78°, 2.162 Å, rel. 26; 2θ = 49.20°, 1.852 Å, rel. 35; 2θ = 53.78°, 1.705 Å, rel. 25; 2θ = 57.61°, 1.600 Å, rel. 12; 2θ = 58.88°, 1.568 Å, rel. 9; 2θ = 73.65°, 1.286 Å, rel. 10; 2θ = 78.03°, 1.225 Å, rel. 9

***

Entry 6:
Structure and calculated PXRD pattern of CaPrTc2O8 (the GGA-PBE geometry in Alexandria; CuKα).
Intensities are scaled so that the largest is 100.

Structure:
Cell lengths 5.3174, 5.3174, 11.7056 Å; angles 90.00, 90.00, 90.00 degrees
Space group I-4 (No. 82)
Unique sites:
Ca: 0.0000 0.0000 0.0000 (multiplicity 2)
Pr: 0.0000 0.5000 0.2500 (multiplicity 2)
Tc: 0.0000 0.0000 0.5000 (multiplicity 2)
Tc: 0.0000 0.5000 0.7500 (multiplicity 2)
O: 0.1514 0.7521 0.8309 (multiplicity 8)
O: 0.1522 0.2501 0.4190 (multiplicity 8)

Main lines, low angle first (2θ = 15–90°):
2θ = 18.33°, 4.841 Å, rel. 10; 2θ = 28.21°, 3.163 Å, rel. 100; 2θ = 30.55°, 2.926 Å, rel. 14; 2θ = 33.71°, 2.659 Å, rel. 18; 2θ = 46.13°, 1.968 Å, rel. 30; 2θ = 48.42°, 1.880 Å, rel. 13; 2θ = 52.87°, 1.732 Å, rel. 17; 2θ = 56.98°, 1.616 Å, rel. 27; 2θ = 58.34°, 1.582 Å, rel. 11; 2θ = 74.50°, 1.274 Å, rel. 12

***

Entry 7:
Structure and calculated PXRD pattern of Ca2PrUO6 (the GGA-PBE geometry in Alexandria; CuKα).
Intensities are scaled so that the largest is 100.

Structure:
Cell lengths 5.9416, 5.9416, 15.4093 Å; angles 90.00, 90.00, 120.00 degrees
Space group R3 (No. 146, hexagonal axes)
Unique sites:
Ca: 0.0000 0.0000 0.0000 (multiplicity 3)
Ca: 0.0000 0.0000 0.4932 (multiplicity 3)
Pr: 0.0000 0.0000 0.2179 (multiplicity 3)
U: 0.0000 0.0000 0.7081 (multiplicity 3)
O: 0.0446 0.3421 0.7751 (multiplicity 9)
O: 0.0588 0.6748 0.2827 (multiplicity 9)

Main lines, low angle first (2θ = 15–90°):
2θ = 20.76°, 4.279 Å, rel. 100; 2θ = 28.95°, 3.084 Å, rel. 81; 2θ = 30.08°, 2.971 Å, rel. 73; 2θ = 34.91°, 2.570 Å, rel. 15; 2θ = 36.83°, 2.440 Å, rel. 19; 2θ = 42.24°, 2.140 Å, rel. 36; 2θ = 46.76°, 1.943 Å, rel. 40; 2θ = 48.26°, 1.886 Å, rel. 21; 2θ = 52.72°, 1.736 Å, rel. 34; 2θ = 53.42°, 1.715 Å, rel. 23

***

Entry 8:
Structure and calculated PXRD pattern of Ca2PtO4 (the GGA-PBE geometry in Alexandria; CuKα).
Intensities are scaled so that the largest is 100.

Structure:
Cell lengths 5.3233, 5.7155, 12.1215 Å; angles 90.00, 90.00, 90.00 degrees
Space group Pbca (No. 61)
Unique sites:
Ca: 0.0025 0.0742 0.1534 (multiplicity 8)
Pt: 0.0000 0.0000 0.5000 (multiplicity 4)
O: 0.0757 0.0219 0.6668 (multiplicity 8)
O: 0.1870 0.1965 0.9602 (multiplicity 8)

Main lines, low angle first (2θ = 15–90°):
2θ = 24.00°, 3.709 Å, rel. 95; 2θ = 31.30°, 2.858 Å, rel. 30; 2θ = 31.91°, 2.804 Å, rel. 100; 2θ = 33.67°, 2.662 Å, rel. 30; 2θ = 43.99°, 2.058 Å, rel. 30; 2θ = 46.63°, 1.948 Å, rel. 25; 2θ = 49.13°, 1.854 Å, rel. 19; 2θ = 51.50°, 1.774 Å, rel. 21; 2θ = 56.11°, 1.639 Å, rel. 23; 2θ = 59.12°, 1.563 Å, rel. 22

***

Copy entry 3 word for word.
Structure and calculated PXRD pattern of Ca4Pr2Sb3O2 (the GGA-PBE geometry in Alexandria; CuKα).
Intensities are scaled so that the largest is 100.

Structure:
Cell lengths 4.7060, 4.7060, 25.7360 Å; angles 90.00, 90.00, 90.00 degrees
Space group I4/mmm (No. 139)
Unique sites:
Ca: 0.0000 0.5000 0.0823 (multiplicity 8)
Pr: 0.0000 0.0000 0.1935 (multiplicity 4)
Sb: 0.0000 0.0000 0.3225 (multiplicity 4)
Sb: 0.0000 0.0000 0.5000 (multiplicity 2)
O: 0.0000 0.0000 0.1002 (multiplicity 4)

Main lines, low angle first (2θ = 15–90°):
2θ = 26.79°, 3.328 Å, rel. 60; 2θ = 27.70°, 3.220 Å, rel. 65; 2θ = 30.86°, 2.897 Å, rel. 32; 2θ = 34.10°, 2.629 Å, rel. 100; 2θ = 38.25°, 2.353 Å, rel. 65; 2θ = 49.95°, 1.826 Å, rel. 25; 2θ = 52.71°, 1.737 Å, rel. 19; 2θ = 55.21°, 1.664 Å, rel. 21; 2θ = 64.64°, 1.442 Å, rel. 19; 2θ = 66.51°, 1.406 Å, rel. 27